Record 1
# LiSmSn3
Computed XRD peak list, CuKα. Input: DFT lattice parameters and positions (PBE).
Lines closer than 0.1° are merged.

Structural model:
```
LiSmSn3
1.0
13.1535 0.0000 0.0000
0.0000 6.2046 0.0000
0.0000 0.0000 6.2387
Li Sm Sn
4 4 12
Direct
0.1072 0.2500 0.0000 Li
0.1072 0.2500 0.5000 Li
0.8928 0.7500 0.0000 Li
0.8928 0.7500 0.5000 Li
0.3102 0.0031 0.2500 Sm
0.3102 0.4969 0.7500 Sm
0.6898 0.5031 0.2500 Sm
0.6898 0.9969 0.7500 Sm
0.0807 0.6838 0.7500 Sn
0.0807 0.8162 0.2500 Sn
0.2626 0.0016 0.7500 Sn
0.2626 0.4984 0.2500 Sn
0.4974 0.7500 0.0000 Sn
0.4974 0.7500 0.5000 Sn
0.5026 0.2500 0.0000 Sn
0.5026 0.2500 0.5000 Sn
0.7374 0.5016 0.7500 Sn
0.7374 0.9984 0.2500 Sn
0.9193 0.1838 0.7500 Sn
0.9193 0.3162 0.2500 Sn
```

Principal peaks in the range 2θ = 10–90°, low angle first:
two_theta  I/Imax  (hkl)
28.62  30  0 0 2
31.75  54  2 0 2
31.90  100  2 2 0
34.07  73  5 0 0
35.31  42  3 0 2
35.45  39  3 2 0
41.03  32  0 2 2
41.63  40  1 2 2
49.88  29  4 2 2
69.10  25  2 4 2

Record 2
# LiSm4Sn8
Computed XRD peak list, CuKα. Input: DFT lattice parameters and positions (PBE).
Lines closer than 0.1° are merged.

Structural model:
```
LiSm4Sn8
1.0
4.4069 0.0000 0.0000
0.0000 4.4929 0.0000
0.0000 0.0000 17.3164
Li Sm Sn
1 4 8
Direct
0.0000 0.0000 0.0000 Li
0.0000 0.0000 0.7739 Sm
0.0000 0.5000 0.2896 Sm
0.5000 0.0000 0.5786 Sm
0.5000 0.5000 0.0783 Sm
0.0000 0.0000 0.1458 Sn
0.0000 0.0000 0.4327 Sn
0.0000 0.5000 0.6137 Sn
0.0000 0.5000 0.9158 Sn
0.5000 0.0000 0.2586 Sn
0.5000 0.0000 0.9144 Sn
0.5000 0.5000 0.4372 Sn
0.5000 0.5000 0.7313 Sn
```

Principal peaks in the range 2θ = 10–90°, low angle first:
two_theta  I/Imax  (hkl)
30.99  17  0 0 6
32.41  100  1 1 3
37.24  8  1 0 6
40.14  17  0 2 0
40.96  16  2 0 0
51.55  8  0 2 6
52.23  8  2 0 6
58.69  12  2 2 0
68.09  12  1 3 3
69.23  12  3 1 3